1.
Starting from a structure optimized by DFT (GGA-PBE), the powder XRD pattern of Li2Nd3Rh3 was calculated for Cu Kα.

Peak list (10 most intense, 10 to 90 degrees two-theta, by angle)
- (1 1 0), 21.00 deg, d = 4.230 Å, rel. 100
- (0 0 2), 31.42 deg, d = 2.847 Å, rel. 59
- (2 1 1), 36.07 deg, d = 2.490 Å, rel. 77
- (3 0 0), 36.81 deg, d = 2.442 Å, rel. 74
- (1 1 2), 38.10 deg, d = 2.362 Å, rel. 48
- (3 1 1), 47.51 deg, d = 1.914 Å, rel. 24
- (3 0 2), 49.15 deg, d = 1.854 Å, rel. 60
- (2 1 3), 59.00 deg, d = 1.566 Å, rel. 18
- (4 2 1), 69.93 deg, d = 1.345 Å, rel. 21
- (5 1 1), 73.93 deg, d = 1.282 Å, rel. 21

Atomic structure:
```
data_Li2Nd3Rh3
_cell_length_a 8.4591
_cell_length_b 8.4591
_cell_length_c 5.6944
_cell_angle_alpha 90.00
_cell_angle_beta 90.00
_cell_angle_gamma 120.00
_symmetry_space_group_name_H-M 'P 63/m c m'
_symmetry_Int_Tables_number 193
_symmetry_space_group_name_Hall '-P 6c 2'
loop_
_atom_site_label
_atom_site_type_symbol
_atom_site_fract_x
_atom_site_fract_y
_atom_site_fract_z
Li1 Li 0.3333 0.6667 0.0000
Nd1 Nd 0.0000 0.2873 0.2500
Rh1 Rh 0.0000 0.3766 0.7500
```


2.
Starting from a structure optimized by DFT (GGA-PBE), the powder XRD pattern of LiNd3Rh3 was calculated for Cu Kα.

Peak list (10 most intense, 10 to 90 degrees two-theta, by angle)
- (1 1 2), 26.44 deg, d = 3.371 Å, rel. 56
- (1 1 3), 30.06 deg, d = 2.973 Å, rel. 34
- (1 3 0), 33.50 deg, d = 2.675 Å, rel. 41
- (0 4 1), 34.57 deg, d = 2.594 Å, rel. 87
- (0 0 6), 38.33 deg, d = 2.349 Å, rel. 40
- (1 3 3), 38.74 deg, d = 2.325 Å, rel. 100
- (0 4 3), 39.18 deg, d = 2.300 Å, rel. 18
- (2 0 0), 43.93 deg, d = 2.061 Å, rel. 35
- (2 0 6), 59.69 deg, d = 1.549 Å, rel. 22
- (3 3 3), 77.27 deg, d = 1.235 Å, rel. 16

Atomic structure:
```
data_LiNd3Rh3
_cell_length_a 4.1218
_cell_length_b 10.5488
_cell_length_c 14.0912
_cell_angle_alpha 90.00
_cell_angle_beta 90.00
_cell_angle_gamma 90.00
_symmetry_space_group_name_H-M 'C m c m'
_symmetry_Int_Tables_number 63
_symmetry_space_group_name_Hall '-C 2c 2'
loop_
_atom_site_label
_atom_site_type_symbol
_atom_site_fract_x
_atom_site_fract_y
_atom_site_fract_z
Li1 Li 0.0000 0.0000 0.0000
Nd1 Nd 0.0000 0.0278 0.2500
Nd2 Nd 0.0000 0.3027 0.1031
Rh1 Rh 0.0000 0.2477 0.7500
Rh2 Rh 0.0000 0.4092 0.5898
```


3.
Starting from a structure optimized by DFT (GGA-PBE), the powder XRD pattern of LiNd4Ru3 was calculated for Cu Kα.

Peak list (10 most intense, 10 to 90 degrees two-theta, by angle)
- (1 1 0), 25.30 deg, d = 3.521 Å, rel. 10
- (1 1 4), 35.55 deg, d = 2.525 Å, rel. 100
- (2 0 0), 36.08 deg, d = 2.490 Å, rel. 49
- (0 0 8), 50.36 deg, d = 1.812 Å, rel. 9
- (2 2 0), 51.94 deg, d = 1.760 Å, rel. 17
- (2 0 8), 63.50 deg, d = 1.465 Å, rel. 18
- (3 1 4), 64.53 deg, d = 1.444 Å, rel. 35
- (2 2 8), 75.26 deg, d = 1.263 Å, rel. 11
- (3 3 4), 87.33 deg, d = 1.117 Å, rel. 8
- (4 2 0), 87.64 deg, d = 1.113 Å, rel. 8

Atomic structure:
```
data_LiNd4Ru3
_cell_length_a 4.9792
_cell_length_b 4.9792
_cell_length_c 14.4951
_cell_angle_alpha 90.00
_cell_angle_beta 90.00
_cell_angle_gamma 90.00
_symmetry_space_group_name_H-M 'I 4/m m m'
_symmetry_Int_Tables_number 139
_symmetry_space_group_name_Hall '-I 4 2'
loop_
_atom_site_label
_atom_site_type_symbol
_atom_site_fract_x
_atom_site_fract_y
_atom_site_fract_z
Li1 Li 0.0000 0.0000 0.0000
Nd1 Nd 0.0000 0.5000 0.1299
Ru1 Ru 0.0000 0.0000 0.2468
Ru2 Ru 0.0000 0.0000 0.5000
```


4.
Starting from a structure optimized by DFT (GGA-PBE), the powder XRD pattern of LiNd4S5 was calculated for Cu Kα.

Peak list (10 most intense, 10 to 90 degrees two-theta, by angle)
- (0 1 5), 26.99 deg, d = 3.303 Å, rel. 45
- (0 0 15), 27.42 deg, d = 3.253 Å, rel. 14
- (1 0 10), 31.39 deg, d = 2.850 Å, rel. 100
- (1 1 0), 44.71 deg, d = 2.027 Å, rel. 37
- (0 1 20), 45.26 deg, d = 2.003 Å, rel. 33
- (1 1 15), 53.25 deg, d = 1.720 Å, rel. 14
- (0 2 10), 55.65 deg, d = 1.652 Å, rel. 19
- (2 1 10), 74.04 deg, d = 1.280 Å, rel. 16
- (1 1 30), 74.85 deg, d = 1.268 Å, rel. 13
- (1 2 20), 82.81 deg, d = 1.166 Å, rel. 11

Atomic structure:
```
data_LiNd4S5
_cell_length_a 4.0537
_cell_length_b 4.0537
_cell_length_c 48.7908
_cell_angle_alpha 90.00
_cell_angle_beta 90.00
_cell_angle_gamma 120.00
_symmetry_space_group_name_H-M 'R -3 m'
_symmetry_Int_Tables_number 166
_symmetry_space_group_name_Hall '-R 3 2"'
loop_
_atom_site_label
_atom_site_type_symbol
_atom_site_fract_x
_atom_site_fract_y
_atom_site_fract_z
Li1 Li 0.0000 0.0000 0.0000
Nd1 Nd 0.0000 0.0000 0.2010
Nd2 Nd 0.0000 0.0000 0.3967
S1 S 0.0000 0.0000 0.0979
S2 S 0.0000 0.0000 0.3026
S3 S 0.0000 0.0000 0.5000
```


5.
Starting from a structure optimized by DFT (GGA-PBE), the powder XRD pattern of LiNd4S5 was calculated for Cu Kα.

Peak list (10 most intense, 10 to 90 degrees two-theta, by angle)
- (1 1 0), 13.89 deg, d = 6.377 Å, rel. 13
- (1 0 1), 18.40 deg, d = 4.821 Å, rel. 15
- (1 2 1), 27.08 deg, d = 3.293 Å, rel. 64
- (0 0 2), 31.37 deg, d = 2.852 Å, rel. 100
- (3 1 2), 44.95 deg, d = 2.017 Å, rel. 72
- (5 0 1), 53.27 deg, d = 1.720 Å, rel. 31
- (2 4 2), 55.84 deg, d = 1.647 Å, rel. 25
- (3 6 1), 72.19 deg, d = 1.309 Å, rel. 13
- (3 1 4), 74.38 deg, d = 1.275 Å, rel. 31
- (2 4 4), 82.93 deg, d = 1.164 Å, rel. 23

Atomic structure:
```
data_LiNd4S5
_cell_length_a 9.0186
_cell_length_b 9.0186
_cell_length_c 5.7038
_cell_angle_alpha 90.00
_cell_angle_beta 90.00
_cell_angle_gamma 90.00
_symmetry_space_group_name_H-M 'I 4'
_symmetry_Int_Tables_number 79
loop_
_symmetry_equiv_pos_as_xyz
'x,y,z'
'-y,x,z'
'-x,-y,z'
'y,-x,z'
'x+1/2,y+1/2,z+1/2'
'-y+1/2,x+1/2,z+1/2'
'-x+1/2,-y+1/2,z+1/2'
'y+1/2,-x+1/2,z+1/2'
loop_
_atom_site_label
_atom_site_type_symbol
_atom_site_fract_x
_atom_site_fract_y
_atom_site_fract_z
Li1 Li 0.0000 0.0000 0.0000
Nd1 Nd 0.1008 0.7010 0.4825
S1 S 0.0000 0.0000 0.4781
S2 S 0.0954 0.7092 0.9825
```


6.
Starting from a structure optimized by DFT (GGA-PBE), the powder XRD pattern of LiNd4S6 was calculated for Cu Kα.

Peak list (10 most intense, 10 to 90 degrees two-theta, by angle)
- (2 0 2), 22.65 deg, d = 3.925 Å, rel. 71
- (1 1 3), 25.51 deg, d = 3.492 Å, rel. 100
- (3 0 0), 27.64 deg, d = 3.227 Å, rel. 86
- (0 2 4), 32.48 deg, d = 2.757 Å, rel. 42
- (1 3 1), 34.05 deg, d = 2.633 Å, rel. 71
- (2 2 3), 37.97 deg, d = 2.370 Å, rel. 69
- (2 3 2), 42.89 deg, d = 2.109 Å, rel. 50
- (5 0 2), 48.95 deg, d = 1.861 Å, rel. 36
- (3 2 4), 49.20 deg, d = 1.852 Å, rel. 36
- (3 0 6), 49.60 deg, d = 1.838 Å, rel. 40

Atomic structure:
```
data_LiNd4S6
_cell_length_a 11.1784
_cell_length_b 11.1784
_cell_length_c 13.4167
_cell_angle_alpha 90.00
_cell_angle_beta 90.00
_cell_angle_gamma 120.00
_symmetry_space_group_name_H-M 'R -3 c'
_symmetry_Int_Tables_number 167
_symmetry_space_group_name_Hall '-R 3 2"c'
loop_
_atom_site_label
_atom_site_type_symbol
_atom_site_fract_x
_atom_site_fract_y
_atom_site_fract_z
Li1 Li 0.0000 0.0000 0.0000
Nd1 Nd 0.0000 0.0000 0.2500
Nd2 Nd 0.0000 0.3840 0.2500
S1 S 0.0281 0.1996 0.3890
```


Which formula does entry 2 have? LiNd3Rh3